Structure and computed X-ray diffraction stick pattern of YEr6Ni2Te2 (a PBE-relaxed structure; Cu Ka).

Largest 6 diffraction maxima, in order of rising 2θ, 10 to 80 degrees two-theta:
30.54°, intensity 43, hkl 1 1 2
33.17°, intensity 81, hkl 0 3 3
34.26°, intensity 100, hkl 1 4 1
34.74°, intensity 81, hkl 0 6 0
47.51°, intensity 29, hkl 2 0 0
59.17°, intensity 31, hkl 2 3 3

Structural model:
Lattice parameters (Å, degrees): 3.827 15.499 9.503 90.00 90.00 90.00
Space group Imm2 (No. 44)
One atom of each set of equivalent atoms:
Y 0.000 0.000 0.000 x2
Er 0.000 0.132 0.418 x4
Er 0.000 0.315 0.620 x4
Er 0.000 0.353 0.269 x4
Ni 0.000 0.238 0.928 x4
Te 0.000 0.000 0.664 x2
Te 0.000 0.500 0.765 x2